# Pm2Ag7
Calculated powder diffractogram, copper Kα. Input: a GGA-PBE-relaxed structure.

Most intense lines, 10 to 90 degrees two-theta, by angle:
| two_theta | I_rel |
| --- | --- |
| 27.9 | 17 |
| 29.5 | 16 |
| 31.6 | 28 |
| 36.7 | 28 |
| 37.1 | 100 |
| 38.3 | 24 |
| 40.6 | 24 |
| 59.9 | 24 |
| 66.0 | 23 |
| 79.0 | 17 |

Structure:
```
Pm2Ag7
1.0
2.831 1.634 14.087
-2.831 1.634 14.087
0.000 -3.269 14.087
Pm Ag
4 14
Direct
0.051 0.051 0.051
0.149 0.149 0.149
0.851 0.851 0.851
0.949 0.949 0.949
0.000 0.500 0.500
0.108 0.613 0.613
0.278 0.278 0.278
0.387 0.387 0.892
0.387 0.892 0.387
0.389 0.389 0.389
0.500 0.000 0.500
0.500 0.500 0.000
0.500 0.500 0.500
0.611 0.611 0.611
0.613 0.108 0.613
0.613 0.613 0.108
0.722 0.722 0.722
0.892 0.387 0.387
```